[1]
Rb3Cu2Bi5S10: computed X-ray diffraction stick pattern (Cu Kα (weighted mean of Kα1 and Kα2)), based on a structure optimized by DFT (PBE).
Neutral-atom scattering factors, no anomalous dispersion.

Structural model:
```
40
Lattice="14.7377 0.0000 0.0000 0.0000 17.9963 0.0000 0.0000 0.0000 4.0747" Properties=species:S:1:pos:R:3 pbc="T T T"
Rb 0.0000 0.0000 0.0000
Rb 0.3523 4.5254 2.0373
Rb 7.0165 13.5236 0.0000
Rb 7.3689 8.9981 2.0373
Rb 7.7212 4.4727 0.0000
Rb 14.3854 13.4709 2.0373
Cu 3.2441 13.4014 0.0000
Cu 4.1248 4.4032 2.0373
Cu 10.6129 13.5931 2.0373
Cu 11.4937 4.5949 0.0000
Bi 0.0000 8.9981 0.0000
Bi 3.1829 10.6858 2.0373
Bi 3.4976 16.0960 2.0373
Bi 3.8713 7.0978 0.0000
Bi 4.1860 1.6877 0.0000
Bi 7.3689 0.0000 2.0373
Bi 10.5518 16.3086 0.0000
Bi 10.8664 10.8985 0.0000
Bi 11.2402 1.9003 2.0373
Bi 11.5548 7.3105 2.0373
S 1.4042 11.4677 0.0000
S 1.7650 8.0117 2.0373
S 1.8689 15.3021 0.0000
S 2.5047 0.5847 2.0373
S 2.9858 4.1105 0.0000
S 4.3831 13.1087 2.0373
S 4.8642 9.5829 0.0000
S 5.5000 6.3039 2.0373
S 5.6039 17.0098 0.0000
S 5.9647 2.4695 2.0373
S 8.7731 15.5268 2.0373
S 9.1338 0.9865 0.0000
S 9.2377 11.6924 2.0373
S 9.8736 8.4134 0.0000
S 10.3547 4.8876 2.0373
S 11.7519 13.8858 0.0000
S 12.2330 17.4116 2.0373
S 12.8689 2.6942 0.0000
S 12.9728 9.9846 2.0373
S 13.3335 6.5286 0.0000
```

Principal peaks in the range 2θ from 15° to 90°, most intense first:
d_spacing, 2θ (°), I/Imax
2.779, 32.2, 100.0
3.839, 23.2, 97.9
3.286, 27.1, 86.9
2.961, 30.2, 77.0
3.684, 24.2, 50.5
2.109, 42.9, 37.0
3.090, 28.9, 36.9
2.219, 40.7, 34.5
2.037, 44.5, 30.7
1.782, 51.3, 28.1

---

[2]
AlCdFeS4: computed X-ray diffraction stick pattern (Cu Kα (weighted mean of Kα1 and Kα2)), based on a structure optimized by DFT (PBE).
Neutral-atom scattering factors, no anomalous dispersion.

Structural model:
```
28
Lattice="7.1656 0.0000 0.0000 0.0000 7.1656 0.0000 0.0000 0.0000 10.0984" Properties=species:S:1:pos:R:3 pbc="T T T"
Al 0.0000 1.8051 0.0000
Al 0.0000 5.3605 5.0492
Al 1.8051 0.0000 7.5738
Al 5.3605 0.0000 2.5246
Cd 1.8172 1.8172 3.7869
Cd 1.8172 5.3484 1.2623
Cd 5.3484 1.8172 6.3115
Cd 5.3484 5.3484 8.8361
Fe 1.8452 3.5828 7.5738
Fe 3.5828 1.8452 0.0000
Fe 3.5828 5.3205 5.0492
Fe 5.3205 3.5828 2.5246
S 0.2683 1.8689 7.6796
S 0.2683 5.2967 7.4680
S 1.8640 3.3567 9.8721
S 1.8640 3.8089 5.2755
S 1.8689 0.2683 9.9926
S 1.8689 6.8973 5.1550
S 3.3567 1.8640 7.8001
S 3.3567 5.3016 7.3475
S 3.8089 1.8640 2.2983
S 3.8089 5.3016 2.7509
S 5.2967 0.2683 0.1058
S 5.2967 6.8973 4.9434
S 5.3016 3.3567 0.2263
S 5.3016 3.8089 4.8229
S 6.8973 1.8689 2.4188
S 6.8973 5.2967 2.6304
```

Principal peaks in the range 2θ from 15° to 90°, most intense first:
d_spacing, 2θ (°), I/Imax
3.052, 29.3, 100.0
3.579, 24.9, 80.2
1.789, 51.0, 67.3
1.950, 46.6, 39.6
2.066, 43.8, 28.6
1.944, 46.7, 18.0
2.322, 38.8, 16.5
1.544, 59.9, 13.3
1.353, 69.5, 12.3
1.317, 71.6, 8.2

---

What is the formula in the first record? Rb3Cu2Bi5S10

---

Which formula does entry 2 have? AlCdFeS4